Structure and simulated PXRD pattern of MgBi (a PBE-relaxed structure; a wavelength of 1.5418 Å).
No peak broadening, texture or thermal motion is included.

The 10 most intense peaks (2θ = 10–80°), sorted by position:
| index | 2theta | I_rel |
| --- | --- | --- |
| 2 0 -1 | 20.52 | 100 |
| 2 0 1 | 25.14 | 67 |
| 1 1 0 | 26.15 | 67 |
| 1 1 -1 | 30.48 | 40 |
| 4 0 0 | 30.87 | 66 |
| 1 1 1 | 32.20 | 82 |
| 0 0 2 | 34.37 | 44 |
| 3 1 -1 | 36.24 | 68 |
| 6 0 -1 | 46.78 | 31 |
| 4 2 0 | 61.05 | 37 |

a b c (Å): 11.821 3.566 5.324
angles (deg): 90.00 101.47 90.00
Sites, in units of the cell vectors:
Mg: 0.127 0.000 0.291
Mg: 0.373 0.500 0.709
Mg: 0.627 0.500 0.291
Mg: 0.873 0.000 0.709
Bi: 0.118 0.500 0.778
Bi: 0.382 0.000 0.222
Bi: 0.618 0.000 0.778
Bi: 0.882 0.500 0.222